This entry pairs a crystal structure of YCuAu with its calculated powder X-ray diffraction pattern. Radiation: Cu Kα, 1.54184 Å. Structure: a DFT-relaxed cell (PBE, Alexandria).

a = 6.055 Å, b = 5.474 Å, c = 7.751 Å
α = 90.00°, β = 111.44°, γ = 90.00°
Fractional positions:
Y  0.200  0.124  0.375
Y  0.200  0.376  0.875
Y  0.800  0.624  0.125
Y  0.800  0.876  0.625
Cu  0.172  0.621  0.516
Cu  0.172  0.879  0.016
Cu  0.828  0.121  0.984
Cu  0.828  0.379  0.484
Au  0.398  0.589  0.284
Au  0.398  0.911  0.784
Au  0.602  0.089  0.216
Au  0.602  0.411  0.716

Top 10 peaks for 2θ from 15° to 90°, by angle:
2θ (°)	d_spacing	I_rel
15.72	5.636	58.3
33.84	2.649	87.6
34.06	2.632	90.3
35.06	2.559	100.0
36.42	2.467	75.2
38.60	2.332	91.8
40.56	2.224	89.3
41.84	2.159	32.6
42.83	2.111	36.2
60.82	1.523	32.9



This entry pairs a crystal structure of YAl2Au4 with its calculated powder X-ray diffraction pattern. Radiation: Cu Kα, 1.54184 Å. Structure: a DFT-relaxed cell (PBE, Alexandria).

a = 17.457 Å, b = 4.490 Å, c = 6.839 Å
α = 90.00°, β = 90.00°, γ = 90.00°
Fractional positions:
Y  0.141  0.250  0.021
Y  0.359  0.750  0.521
Y  0.641  0.250  0.479
Y  0.859  0.750  0.979
Al  0.037  0.750  0.257
Al  0.217  0.250  0.536
Al  0.283  0.750  0.036
Al  0.463  0.250  0.757
Al  0.537  0.750  0.243
Al  0.717  0.250  0.964
Al  0.783  0.750  0.464
Al  0.963  0.250  0.743
Au  0.034  0.750  0.864
Au  0.071  0.250  0.479
Au  0.184  0.750  0.320
Au  0.192  0.750  0.743
Au  0.308  0.250  0.243
Au  0.316  0.250  0.820
Au  0.429  0.750  0.979
Au  0.466  0.250  0.364
Au  0.534  0.750  0.636
Au  0.571  0.250  0.021
Au  0.684  0.750  0.180
Au  0.692  0.750  0.757
Au  0.808  0.250  0.257
Au  0.816  0.250  0.680
Au  0.929  0.750  0.521
Au  0.966  0.250  0.136

Top 10 peaks for 2θ from 15° to 90°, by angle:
2θ (°)	d_spacing	I_rel
28.03	3.184	24.4
28.29	3.154	38.4
28.52	3.130	44.0
33.32	2.689	27.4
34.53	2.597	100.0
35.10	2.556	66.2
36.81	2.442	42.1
40.17	2.245	60.5
42.59	2.123	22.5
45.66	1.987	20.7



This entry pairs a crystal structure of TbAl3Ni2 with its calculated powder X-ray diffraction pattern. Radiation: Cu Kα, 1.54184 Å. Structure: a DFT-relaxed cell (PBE, Alexandria).

a = 5.282 Å, b = 5.282 Å, c = 3.983 Å
α = 90.00°, β = 90.00°, γ = 120.00°
Fractional positions:
Tb  0.000  0.000  0.000
Al  0.000  0.500  0.500
Al  0.500  0.000  0.500
Al  0.500  0.500  0.500
Ni  0.333  0.667  0.000
Ni  0.667  0.333  0.000

Top 10 peaks for 2θ from 15° to 90°, by angle:
2θ (°)	d_spacing	I_rel
19.40	4.575	13.2
22.32	3.983	34.6
29.74	3.004	34.1
33.94	2.641	58.2
39.39	2.287	17.0
41.00	2.201	100.0
45.55	1.992	16.8
58.00	1.590	24.1
65.55	1.424	23.9
88.92	1.101	14.4



This entry pairs a crystal structure of LaNdGaGe with its calculated powder X-ray diffraction pattern. Radiation: Cu Kα, 1.54184 Å. Structure: a DFT-relaxed cell (PBE, Alexandria).

a = 4.140 Å, b = 4.516 Å, c = 11.424 Å
α = 90.00°, β = 90.00°, γ = 90.00°
Fractional positions:
La  0.000  0.000  0.000
La  0.000  0.500  0.500
Nd  0.500  0.000  0.281
Nd  0.500  0.500  0.781
Ga  0.500  0.000  0.571
Ga  0.500  0.500  0.071
Ge  0.000  0.000  0.717
Ge  0.000  0.500  0.217

Top 10 peaks for 2θ from 15° to 90°, by angle:
2θ (°)	d_spacing	I_rel
26.59	3.352	21.6
30.31	2.948	100.0
30.71	2.911	46.1
31.32	2.856	25.5
37.78	2.381	53.7
38.29	2.351	20.8
39.93	2.258	27.3
43.73	2.070	21.1
54.38	1.687	18.3
60.30	1.535	15.8



This entry pairs a crystal structure of Ba2GaTc with its calculated powder X-ray diffraction pattern. Radiation: Cu Kα, 1.54184 Å. Structure: a DFT-relaxed cell (PBE, Alexandria).

a = 11.548 Å, b = 11.548 Å, c = 4.964 Å
α = 90.00°, β = 90.00°, γ = 90.00°
Fractional positions:
Ba  0.040  0.250  0.125
Ba  0.250  0.540  0.375
Ba  0.250  0.960  0.875
Ba  0.460  0.250  0.625
Ba  0.540  0.750  0.625
Ba  0.750  0.040  0.875
Ba  0.750  0.460  0.375
Ba  0.960  0.750  0.125
Ga  0.000  0.000  0.500
Ga  0.000  0.500  0.750
Ga  0.500  0.000  0.250
Ga  0.500  0.500  0.000
Tc  0.000  0.000  0.000
Tc  0.000  0.500  0.250
Tc  0.500  0.000  0.750
Tc  0.500  0.500  0.500

Top 10 peaks for 2θ from 15° to 90°, by angle:
2θ (°)	d_spacing	I_rel
15.34	5.774	98.3
19.47	4.560	96.9
24.37	3.652	39.2
24.88	3.579	77.0
30.97	2.887	100.0
34.74	2.582	49.8
36.85	2.439	59.5
39.52	2.280	43.9
43.20	2.094	30.5
44.12	2.053	35.4



This entry pairs a crystal structure of Ta5Mo3 with its calculated powder X-ray diffraction pattern. Radiation: Cu Kα, 1.54184 Å. Structure: a DFT-relaxed cell (PBE, Alexandria).

a = 3.229 Å, b = 4.712 Å, c = 18.156 Å
α = 90.00°, β = 90.00°, γ = 90.00°
Fractional positions:
Ta  0.000  0.000  0.000
Ta  0.000  0.000  0.243
Ta  0.000  0.000  0.506
Ta  0.000  0.500  0.375
Ta  0.000  0.500  0.869
Ta  0.500  0.000  0.375
Ta  0.500  0.000  0.869
Ta  0.500  0.500  0.000
Ta  0.500  0.500  0.243
Ta  0.500  0.500  0.506
Mo  0.000  0.000  0.746
Mo  0.000  0.500  0.122
Mo  0.000  0.500  0.628
Mo  0.500  0.000  0.122
Mo  0.500  0.000  0.628
Mo  0.500  0.500  0.746

Top 10 peaks for 2θ from 15° to 90°, by angle:
2θ (°)	d_spacing	I_rel
35.11	2.556	4.5
38.20	2.356	27.2
39.22	2.297	100.0
39.72	2.270	23.3
56.28	1.635	16.8
57.04	1.615	8.5
69.73	1.349	18.4
70.74	1.332	8.9
71.75	1.316	23.6
84.31	1.149	10.9



This entry pairs a crystal structure of Ce5P4O with its calculated powder X-ray diffraction pattern. Radiation: Cu Kα, 1.54184 Å. Structure: a DFT-relaxed cell (PBE, Alexandria).

a = 6.924 Å, b = 6.924 Å, c = 6.924 Å
α = 99.83°, β = 99.83°, γ = 131.20°
Fractional positions:
Ce  0.000  0.000  0.000
Ce  0.253  0.636  0.809
Ce  0.444  0.253  0.617
Ce  0.636  0.827  0.383
Ce  0.827  0.444  0.191
P  0.134  0.340  0.396
P  0.340  0.944  0.206
P  0.738  0.134  0.794
P  0.944  0.738  0.604
O  0.589  0.589  0.000

Top 10 peaks for 2θ from 15° to 90°, by angle:
2θ (°)	d_spacing	I_rel
27.26	3.272	100.0
31.27	2.861	39.3
31.73	2.820	78.0
45.15	2.008	55.8
45.49	1.994	27.3
53.24	1.721	15.7
53.84	1.703	29.4
56.23	1.636	27.6
72.57	1.303	12.0
83.83	1.154	16.5



This entry pairs a crystal structure of DyFe4B2 with its calculated powder X-ray diffraction pattern. Radiation: Cu Kα, 1.54184 Å. Structure: a DFT-relaxed cell (PBE, Alexandria).

a = 3.524 Å, b = 12.610 Å, c = 3.526 Å
α = 90.00°, β = 90.00°, γ = 90.00°
Fractional positions:
Dy  0.000  0.000  0.000
Dy  0.500  0.500  0.000
Fe  0.000  0.186  0.500
Fe  0.000  0.311  0.000
Fe  0.000  0.689  0.000
Fe  0.000  0.814  0.500
Fe  0.500  0.189  0.000
Fe  0.500  0.314  0.500
Fe  0.500  0.686  0.500
Fe  0.500  0.811  0.000
B  0.000  0.401  0.500
B  0.000  0.599  0.500
B  0.500  0.099  0.500
B  0.500  0.901  0.500

Top 10 peaks for 2θ from 15° to 90°, by angle:
2θ (°)	d_spacing	I_rel
25.26	3.526	14.0
26.26	3.394	27.7
29.01	3.078	22.5
33.17	2.700	18.3
38.30	2.350	15.7
42.15	2.144	100.0
43.04	2.102	16.6
51.88	1.762	31.9
63.74	1.460	12.2
69.62	1.350	15.1



This entry pairs a crystal structure of TiSi6W2 with its calculated powder X-ray diffraction pattern. Radiation: Cu Kα, 1.54184 Å. Structure: a DFT-relaxed cell (PBE, Alexandria).

a = 4.686 Å, b = 4.686 Å, c = 6.490 Å
α = 90.00°, β = 90.00°, γ = 119.73°
Fractional positions:
Ti  0.000  0.000  0.000
Si  0.175  0.337  0.331
Si  0.337  0.175  0.669
Si  0.343  0.657  0.000
Si  0.657  0.343  0.000
Si  0.663  0.825  0.669
Si  0.825  0.663  0.331
W  0.000  0.500  0.667
W  0.500  0.000  0.333

Top 10 peaks for 2θ from 15° to 90°, by angle:
2θ (°)	d_spacing	I_rel
21.93	4.053	32.7
25.86	3.446	100.0
35.39	2.536	45.1
38.26	2.352	14.7
40.80	2.212	20.2
40.95	2.204	63.7
41.76	2.163	27.8
44.53	2.034	15.0
47.89	1.899	39.5
76.04	1.252	15.7



This entry pairs a crystal structure of Nd2PdO4 with its calculated powder X-ray diffraction pattern. Radiation: Cu Kα, 1.54184 Å. Structure: a DFT-relaxed cell (PBE, Alexandria).

a = 6.968 Å, b = 6.968 Å, c = 5.721 Å
α = 90.00°, β = 90.00°, γ = 48.51°
Fractional positions:
Nd  0.156  0.156  0.000
Nd  0.344  0.344  0.500
Nd  0.656  0.656  0.500
Nd  0.844  0.844  0.000
Pd  0.000  0.000  0.500
Pd  0.500  0.500  0.000
O  0.010  0.490  0.750
O  0.188  0.812  0.812
O  0.312  0.688  0.312
O  0.490  0.010  0.250
O  0.510  0.990  0.750
O  0.688  0.312  0.688
O  0.812  0.188  0.188
O  0.990  0.510  0.250

Top 10 peaks for 2θ from 15° to 90°, by angle:
2θ (°)	d_spacing	I_rel
30.55	2.926	100.0
31.26	2.861	36.1
42.70	2.118	9.4
44.79	2.023	22.9
53.86	1.702	19.7
55.19	1.664	40.3
63.60	1.463	10.6
73.71	1.285	7.2
87.66	1.113	8.6
89.48	1.095	10.3



This entry pairs a crystal structure of Hg3MoCl6 with its calculated powder X-ray diffraction pattern. Radiation: Cu Kα, 1.54184 Å. Structure: a DFT-relaxed cell (PBE, Alexandria).

a = 6.158 Å, b = 6.158 Å, c = 8.709 Å
α = 90.00°, β = 90.00°, γ = 120.00°
Fractional positions:
Hg  0.000  0.000  0.000
Hg  0.333  0.667  0.000
Hg  0.667  0.333  0.000
Mo  0.000  0.000  0.500
Cl  0.000  0.306  0.343
Cl  0.000  0.694  0.657
Cl  0.306  0.000  0.343
Cl  0.306  0.306  0.657
Cl  0.694  0.000  0.657
Cl  0.694  0.694  0.343

Top 10 peaks for 2θ from 15° to 90°, by angle:
2θ (°)	d_spacing	I_rel
20.40	4.354	39.5
29.00	3.079	48.2
30.80	2.903	100.0
35.71	2.514	91.8
51.40	1.778	56.3
55.86	1.646	17.8
61.13	1.516	37.3
64.16	1.452	20.1
83.87	1.154	18.8
86.57	1.124	25.0